(1)
Theoretical X-ray powder pattern
Compound: RbDyMo2O8
Radiation: a wavelength of 1.5418 Å
Structure: the PBE+U geometry in the Materials Project
Intensities are scaled so that the largest is 100.

Top 10 peaks for 10° ≤ 2θ ≤ 90°, in order of rising 2θ:
| 2theta | I_rel |
| --- | --- |
| 14.2 | 19 |
| 27.7 | 100 |
| 28.7 | 66 |
| 30.5 | 31 |
| 33.2 | 11 |
| 34.1 | 21 |
| 46.4 | 16 |
| 47.0 | 15 |
| 51.2 | 10 |
| 53.6 | 14 |

Cell and atoms:
```
RbDyMo2O8
1.0
5.4021 -5.2525 0.0000
5.4021 5.2525 0.0000
-5.0954 0.0000 5.8613
Rb Dy Mo O
2 2 4 16
Direct
0.1990 0.8010 0.7500 Rb
0.8010 0.1990 0.2500 Rb
0.2292 0.7708 0.2500 Dy
0.7708 0.2292 0.7500 Dy
0.3045 0.3038 0.2629 Mo
0.3038 0.3045 0.7629 Mo
0.6962 0.6955 0.2371 Mo
0.6955 0.6962 0.7371 Mo
0.0471 0.2072 0.6920 O
0.0675 0.3831 0.1245 O
0.2072 0.0471 0.1920 O
0.2347 0.3851 0.5613 O
0.3673 0.5851 0.0302 O
0.3831 0.0675 0.6245 O
0.3851 0.2347 0.0613 O
0.4149 0.6327 0.4698 O
0.5851 0.3673 0.5302 O
0.6149 0.7653 0.9387 O
0.6169 0.9325 0.3755 O
0.6327 0.4149 0.9698 O
0.7653 0.6149 0.4387 O
0.7928 0.9529 0.8080 O
0.9325 0.6169 0.8755 O
0.9529 0.7928 0.3080 O
```

(2)
Theoretical X-ray powder pattern
Compound: RbDyMo2O8
Radiation: a wavelength of 1.5418 Å
Structure: the PBE+U geometry in the Materials Project
Intensities are scaled so that the largest is 100.

Top 10 peaks for 10° ≤ 2θ ≤ 90°, in order of rising 2θ:
| 2theta | I_rel |
| --- | --- |
| 22.3 | 37 |
| 24.9 | 17 |
| 28.3 | 100 |
| 28.9 | 49 |
| 29.4 | 60 |
| 34.9 | 16 |
| 44.3 | 18 |
| 45.9 | 43 |
| 52.2 | 22 |
| 54.0 | 22 |

Cell and atoms:
```
RbDyMo2O8
1.0
5.1420 0.0000 0.0000
0.0000 18.8507 0.0000
0.0000 0.0000 8.1778
Rb Dy Mo O
4 4 8 32
Direct
0.0000 0.2303 0.2500 Rb
0.0000 0.7697 0.7500 Rb
0.5000 0.2697 0.7500 Rb
0.5000 0.7303 0.2500 Rb
0.0000 0.0063 0.7500 Dy
0.0000 0.9937 0.2500 Dy
0.5000 0.4937 0.2500 Dy
0.5000 0.5063 0.7500 Dy
0.0226 0.4006 0.5157 Mo
0.0226 0.5994 0.0157 Mo
0.4774 0.0994 0.0157 Mo
0.4774 0.9006 0.5157 Mo
0.5226 0.0994 0.4843 Mo
0.5226 0.9006 0.9843 Mo
0.9774 0.4006 0.9843 Mo
0.9774 0.5994 0.4843 Mo
0.0983 0.3139 0.9744 O
0.0983 0.6861 0.4744 O
0.2322 0.4026 0.3390 O
0.2322 0.5974 0.8390 O
0.2422 0.4103 0.6892 O
0.2422 0.5897 0.1892 O
0.2467 0.0354 0.5046 O
0.2467 0.9646 0.0046 O
0.2533 0.4646 0.0046 O
0.2533 0.5354 0.5046 O
0.2578 0.0897 0.1892 O
0.2578 0.9103 0.6892 O
0.2678 0.0974 0.8390 O
0.2678 0.9026 0.3390 O
0.4017 0.1861 0.4744 O
0.4017 0.8139 0.9744 O
0.5983 0.1861 0.0256 O
0.5983 0.8139 0.5256 O
0.7322 0.0974 0.6610 O
0.7322 0.9026 0.1610 O
0.7422 0.0897 0.3108 O
0.7422 0.9103 0.8108 O
0.7467 0.4646 0.4954 O
0.7467 0.5354 0.9954 O
0.7533 0.0354 0.9954 O
0.7533 0.9646 0.4954 O
0.7578 0.4103 0.8108 O
0.7578 0.5897 0.3108 O
0.7678 0.4026 0.1610 O
0.7678 0.5974 0.6610 O
0.9017 0.3139 0.5256 O
0.9017 0.6861 0.0256 O
```

(3)
Theoretical X-ray powder pattern
Compound: DyTlMo2O8
Radiation: a wavelength of 1.5418 Å
Structure: the PBE+U geometry in the Materials Project
Intensities are scaled so that the largest is 100.

Top 10 peaks for 10° ≤ 2θ ≤ 90°, in order of rising 2θ:
| 2theta | I_rel |
| --- | --- |
| 21.0 | 53 |
| 22.4 | 23 |
| 24.9 | 55 |
| 28.3 | 100 |
| 29.0 | 75 |
| 29.4 | 75 |
| 34.9 | 25 |
| 46.0 | 61 |
| 52.4 | 34 |
| 54.2 | 25 |

Cell and atoms:
```
DyTlMo2O8
1.0
5.1430 0.0000 0.0000
0.0000 18.7831 0.0000
0.0000 0.0000 8.1570
Dy Tl Mo O
4 4 8 32
Direct
0.0000 0.0063 0.2500 Dy
0.0000 0.9937 0.7500 Dy
0.5000 0.4937 0.7500 Dy
0.5000 0.5063 0.2500 Dy
0.0000 0.2302 0.7500 Tl
0.0000 0.7698 0.2500 Tl
0.5000 0.2698 0.2500 Tl
0.5000 0.7302 0.7500 Tl
0.0222 0.4000 0.0160 Mo
0.0222 0.6000 0.5160 Mo
0.4778 0.1000 0.5160 Mo
0.4778 0.9000 0.0160 Mo
0.5222 0.1000 0.9840 Mo
0.5222 0.9000 0.4840 Mo
0.9778 0.4000 0.4840 Mo
0.9778 0.6000 0.9840 Mo
0.1004 0.3128 0.4753 O
0.1004 0.6872 0.9753 O
0.2310 0.4022 0.8393 O
0.2310 0.5978 0.3393 O
0.2426 0.4095 0.1896 O
0.2426 0.5905 0.6896 O
0.2475 0.0354 0.0049 O
0.2475 0.9646 0.5049 O
0.2525 0.4646 0.5049 O
0.2525 0.5354 0.0049 O
0.2574 0.0905 0.6896 O
0.2574 0.9095 0.1896 O
0.2690 0.0978 0.3393 O
0.2690 0.9022 0.8393 O
0.3996 0.1872 0.9753 O
0.3996 0.8128 0.4753 O
0.6004 0.1872 0.5247 O
0.6004 0.8128 0.0247 O
0.7310 0.0978 0.1607 O
0.7310 0.9022 0.6607 O
0.7426 0.0905 0.8104 O
0.7426 0.9095 0.3104 O
0.7475 0.4646 0.9951 O
0.7475 0.5354 0.4951 O
0.7525 0.0354 0.4951 O
0.7525 0.9646 0.9951 O
0.7574 0.4095 0.3104 O
0.7574 0.5905 0.8104 O
0.7690 0.4022 0.6607 O
0.7690 0.5978 0.1607 O
0.8996 0.3128 0.0247 O
0.8996 0.6872 0.5247 O
```

(4)
Theoretical X-ray powder pattern
Compound: Na2DyPWO8
Radiation: a wavelength of 1.5418 Å
Structure: the PBE+U geometry in the Materials Project
Intensities are scaled so that the largest is 100.

Top 10 peaks for 10° ≤ 2θ ≤ 90°, in order of rising 2θ:
| 2theta | I_rel |
| --- | --- |
| 14.4 | 94 |
| 17.6 | 85 |
| 24.4 | 68 |
| 27.1 | 58 |
| 27.4 | 100 |
| 29.3 | 45 |
| 32.1 | 39 |
| 32.3 | 56 |
| 32.9 | 35 |
| 35.2 | 34 |

Cell and atoms:
```
Na2DyPWO8
1.0
-3.4820 6.1319 9.1302
3.4820 -6.1319 9.1302
3.4820 6.1319 -9.1302
Na Dy P W O
8 4 4 4 32
Direct
0.0944 0.6637 0.4520 Na
0.2117 0.1637 0.0693 Na
0.2883 0.3576 0.9520 Na
0.4056 0.8576 0.5693 Na
0.5944 0.1424 0.4307 Na
0.7117 0.6424 0.0480 Na
0.7883 0.8363 0.9307 Na
0.9056 0.3363 0.5480 Na
0.1771 0.7500 0.9271 Dy
0.3229 0.2500 0.5729 Dy
0.6771 0.7500 0.4271 Dy
0.8229 0.2500 0.0729 Dy
0.0696 0.2500 0.3196 P
0.4304 0.7500 0.1804 P
0.5696 0.2500 0.8196 P
0.9304 0.7500 0.6804 P
0.0719 0.8219 0.2500 W
0.4281 0.6781 0.7500 W
0.5719 0.3219 0.2500 W
0.9281 0.1781 0.7500 W
0.0619 0.3325 0.2591 O
0.0734 0.8325 0.7706 O
0.1029 0.1896 0.8261 O
0.1036 0.6694 0.0138 O
0.1365 0.7232 0.3261 O
0.1404 0.4155 0.5727 O
0.1557 0.0898 0.4862 O
0.1571 0.0845 0.2249 O
0.3429 0.5677 0.9273 O
0.3443 0.8306 0.9342 O
0.3596 0.9323 0.2751 O
0.3635 0.6896 0.5867 O
0.3964 0.4102 0.5658 O
0.3971 0.2232 0.0867 O
0.4266 0.1972 0.7591 O
0.4381 0.6972 0.2706 O
0.5619 0.3028 0.7294 O
0.5734 0.8028 0.2409 O
0.6029 0.7768 0.9133 O
0.6036 0.5898 0.4342 O
0.6365 0.3104 0.4133 O
0.6404 0.0677 0.7249 O
0.6557 0.1694 0.0658 O
0.6571 0.4323 0.0727 O
0.8429 0.9155 0.7751 O
0.8443 0.9102 0.5138 O
0.8596 0.5845 0.4273 O
0.8635 0.2768 0.6739 O
0.8964 0.3306 0.9862 O
0.8971 0.8104 0.1739 O
0.9266 0.1675 0.2294 O
0.9381 0.6675 0.7409 O
```

(5)
Theoretical X-ray powder pattern
Compound: NaDyW2O8
Radiation: a wavelength of 1.5418 Å
Structure: the PBE+U geometry in the Materials Project
Intensities are scaled so that the largest is 100.

Top 10 peaks for 10° ≤ 2θ ≤ 90°, in order of rising 2θ:
| 2theta | I_rel |
| --- | --- |
| 18.5 | 27 |
| 28.6 | 100 |
| 31.4 | 14 |
| 34.0 | 22 |
| 47.0 | 30 |
| 48.9 | 13 |
| 54.2 | 17 |
| 57.6 | 28 |
| 59.2 | 12 |
| 76.0 | 20 |

Cell and atoms:
```
NaDyW2O8
1.0
-2.6365 2.6365 5.6951
2.6365 -2.6365 5.6951
2.6365 2.6365 -5.6951
Na Dy W O
1 1 2 8
Direct
0.0000 0.0000 0.0000 Na
0.7500 0.2500 0.5000 Dy
0.2500 0.7500 0.5000 W
0.5000 0.5000 0.0000 W
0.0033 0.9144 0.5835 O
0.0856 0.6691 0.0889 O
0.1640 0.2621 0.6067 O
0.3309 0.4198 0.4165 O
0.4428 0.8360 0.0982 O
0.5802 0.9967 0.9111 O
0.6554 0.5572 0.3933 O
0.7379 0.3446 0.9018 O
```

(6)
Theoretical X-ray powder pattern
Compound: DyNiO3
Radiation: a wavelength of 1.5418 Å
Structure: the PBE+U geometry in the Materials Project
Intensities are scaled so that the largest is 100.

Top 10 peaks for 10° ≤ 2θ ≤ 90°, in order of rising 2θ:
| 2theta | I_rel |
| --- | --- |
| 26.2 | 29 |
| 31.8 | 17 |
| 33.6 | 100 |
| 34.1 | 19 |
| 34.4 | 26 |
| 47.6 | 16 |
| 48.9 | 25 |
| 49.2 | 16 |
| 53.4 | 20 |
| 61.1 | 39 |

Cell and atoms:
```
DyNiO3
1.0
5.6227 0.0000 0.0000
0.0000 7.4534 0.0000
0.0000 0.0000 5.2117
Dy Ni O
4 4 12
Direct
0.0776 0.2500 0.0212 Dy
0.4224 0.7500 0.5212 Dy
0.5776 0.2500 0.4788 Dy
0.9224 0.7500 0.9788 Dy
0.0000 0.0000 0.5000 Ni
0.0000 0.5000 0.5000 Ni
0.5000 0.0000 0.0000 Ni
0.5000 0.5000 0.0000 Ni
0.0305 0.7500 0.3954 O
0.1923 0.5520 0.8030 O
0.1923 0.9480 0.8030 O
0.3077 0.0520 0.3030 O
0.3077 0.4480 0.3030 O
0.4695 0.2500 0.8954 O
0.5305 0.7500 0.1046 O
0.6923 0.5520 0.6970 O
0.6923 0.9480 0.6970 O
0.8077 0.0520 0.1970 O
0.8077 0.4480 0.1970 O
0.9695 0.2500 0.6046 O
```

(7)
Theoretical X-ray powder pattern
Compound: SrPrDyNiO6
Radiation: a wavelength of 1.5418 Å
Structure: the PBE+U geometry in the Materials Project
Intensities are scaled so that the largest is 100.

Top 10 peaks for 10° ≤ 2θ ≤ 90°, in order of rising 2θ:
| 2theta | I_rel |
| --- | --- |
| 19.2 | 12 |
| 31.5 | 100 |
| 37.1 | 9 |
| 45.2 | 30 |
| 49.5 | 5 |
| 56.1 | 39 |
| 59.9 | 3 |
| 65.8 | 18 |
| 74.8 | 17 |
| 83.4 | 6 |

Cell and atoms:
```
SrPrDyNiO6
1.0
0.0000 4.0133 4.0133
4.0133 0.0000 4.0133
4.0133 4.0133 0.0000
Sr Pr Dy Ni O
1 1 1 1 6
Direct
0.0000 0.0000 0.0000 Sr
0.5000 0.5000 0.5000 Pr
0.2500 0.2500 0.2500 Dy
0.7500 0.7500 0.7500 Ni
0.5186 0.5186 0.9814 O
0.5186 0.9814 0.5186 O
0.5186 0.9814 0.9814 O
0.9814 0.5186 0.5186 O
0.9814 0.5186 0.9814 O
0.9814 0.9814 0.5186 O
```